The following is a computed XRD peak list of Tb4Nd4Sm5. It was derived from a structure optimized by DFT (GGA-PBE), using a wavelength of 1.5418 Å.
Neutral-atom scattering factors, no anomalous dispersion.

Crystal structure
```
Tb4Nd4Sm5
1.0
-6.545 6.545 2.555
6.545 -6.545 2.555
6.545 6.545 -2.555
Tb Nd Sm
4 4 5
Direct
0.154 0.769 0.923 Tb
0.231 0.154 0.385 Tb
0.769 0.846 0.615 Tb
0.846 0.231 0.077 Tb
0.077 0.383 0.460 Nd
0.383 0.923 0.305 Nd
0.617 0.077 0.695 Nd
0.923 0.617 0.540 Nd
0.000 0.000 0.000 Sm
0.309 0.539 0.848 Sm
0.461 0.309 0.769 Sm
0.539 0.691 0.231 Sm
0.691 0.461 0.152 Sm
```

Peak list (8 most intense, 2θ from 5° to 70°, low angle first)
Position (°2θ), I/Imax
30.20, 100
34.95, 34
35.13, 17
50.26, 12
50.40, 24
59.77, 29
60.00, 14
62.80, 12

=====

The following is a computed XRD peak list of Tb7NdSm4. It was derived from a structure optimized by DFT (GGA-PBE), using a wavelength of 1.5418 Å.
Neutral-atom scattering factors, no anomalous dispersion.

Crystal structure
```
Tb7NdSm4
1.0
6.569 0.000 0.000
0.942 6.814 0.000
2.058 0.418 8.890
Tb Nd Sm
7 1 4
Direct
0.000 0.000 0.000 Tb
0.191 0.602 0.386 Tb
0.317 0.199 0.641 Tb
0.486 0.751 0.051 Tb
0.514 0.249 0.949 Tb
0.683 0.801 0.359 Tb
0.809 0.398 0.614 Tb
0.000 0.500 0.000 Nd
0.162 0.110 0.312 Sm
0.360 0.695 0.715 Sm
0.640 0.305 0.285 Sm
0.838 0.890 0.688 Sm
```

Peak list (10 most intense, 2θ from 5° to 70°, low angle first)
Position (°2θ), I/Imax
30.16, 34
30.84, 37
31.35, 100
31.92, 50
32.11, 32
32.38, 18
42.66, 12
46.45, 13
55.42, 13
56.62, 18

=====

The following is a computed XRD peak list of Tb2Nd4Sm. It was derived from a structure optimized by DFT (GGA-PBE), using a wavelength of 1.5418 Å.
Neutral-atom scattering factors, no anomalous dispersion.

Crystal structure
```
Tb2Nd4Sm
1.0
3.254 -12.218 0.000
3.254 12.218 0.000
-3.254 0.000 6.046
Tb Nd Sm
4 8 2
Direct
0.091 0.909 0.500 Tb
0.290 0.609 0.900 Tb
0.609 0.290 0.400 Tb
0.909 0.091 0.000 Tb
0.019 0.127 0.548 Nd
0.127 0.019 0.048 Nd
0.164 0.701 0.321 Nd
0.171 0.779 0.851 Nd
0.542 0.579 0.077 Nd
0.579 0.542 0.577 Nd
0.701 0.164 0.821 Nd
0.779 0.171 0.351 Nd
0.408 0.658 0.450 Sm
0.658 0.408 0.950 Sm
```

Peak list (10 most intense, 2θ from 5° to 70°, low angle first)
Position (°2θ), I/Imax
29.55, 12
29.97, 100
30.46, 32
31.21, 66
31.90, 31
32.08, 23
36.75, 29
50.08, 21
54.75, 22
60.16, 14